Entry 1:
# CsAs2Br8
Theoretical X-ray powder pattern, λ = 1.5418 Å (Cu Kα). Input: a DFT-relaxed cell (GGA-PBE, Alexandria).
Neutral-atom scattering factors, no anomalous dispersion.

Main lines, low angle first (5° ≤ 2θ ≤ 70°):
| d_spacing | 2θ/deg | I_rel |
| --- | --- | --- |
| 5.626 | 15.8 | 69 |
| 4.608 | 19.3 | 28 |
| 3.563 | 25.0 | 100 |
| 2.815 | 31.8 | 48 |
| 2.304 | 39.1 | 42 |
| 1.935 | 47.0 | 18 |
| 1.783 | 51.2 | 18 |
| 1.737 | 52.7 | 24 |

Crystal structure
Lattice parameters (Å, degrees): 9.2159 9.2159 7.9318 90.00 90.00 120.00
Space group P-3m1 (No. 164)
Unique sites:
Cs: 0.0000 0.0000 0.0000 x1
As: 0.3333 0.6667 0.6369 x2
Br: 0.1805 0.3609 0.7072 x6
Br: 0.3333 0.6667 0.3372 x2


Entry 2:
# SrDy3Tl4
Theoretical X-ray powder pattern, λ = 1.5418 Å (Cu Kα). Input: a DFT-relaxed cell (GGA-PBE, Alexandria).
Neutral-atom scattering factors, no anomalous dispersion.

Main lines, low angle first (5° ≤ 2θ ≤ 70°):
| d_spacing | 2θ/deg | I_rel |
| --- | --- | --- |
| 2.744 | 32.6 | 51 |
| 2.726 | 32.9 | 100 |
| 1.940 | 46.8 | 19 |
| 1.916 | 47.5 | 9 |
| 1.581 | 58.4 | 39 |
| 1.571 | 58.8 | 19 |
| 1.372 | 68.4 | 6 |
| 1.363 | 68.9 | 12 |

Crystal structure
Lattice parameters (Å, degrees): 10.974 7.662 5.490 90.00 90.00 90.00
Space group Pmma (No. 51)
Unique sites:
Sr: 0.000 0.000 0.000 x2
Dy: 0.000 0.500 0.000 x2
Dy: 0.250 0.000 0.498 x2
Dy: 0.250 0.500 0.497 x2
Tl: 0.000 0.260 0.500 x4
Tl: 0.250 0.260 0.996 x4


Entry 3:
# Cs2NdThS4
Theoretical X-ray powder pattern, λ = 1.5418 Å (Cu Kα). Input: a DFT-relaxed cell (GGA-PBE, Alexandria).
Neutral-atom scattering factors, no anomalous dispersion.

Main lines, low angle first (5° ≤ 2θ ≤ 70°):
| d_spacing | 2θ/deg | I_rel |
| --- | --- | --- |
| 4.062 | 21.9 | 48 |
| 3.493 | 25.5 | 86 |
| 3.131 | 28.5 | 100 |
| 3.125 | 28.6 | 49 |
| 2.338 | 38.5 | 58 |
| 2.103 | 43.0 | 33 |
| 2.028 | 44.7 | 29 |
| 1.870 | 48.7 | 24 |

Crystal structure
Lattice parameters (Å, degrees): 7.280 4.217 8.478 90.00 106.62 90.00
Space group P2/m (No. 10)
Unique sites:
Cs: 0.000 0.000 0.000 x1
Cs: 0.500 0.500 0.000 x1
Nd: 0.000 0.500 0.500 x1
Th: 0.500 0.000 0.500 x1
S: 0.236 0.000 0.688 x2
S: 0.277 0.500 0.312 x2


Entry 4:
# Nd5As2ClO10
Theoretical X-ray powder pattern, λ = 1.5418 Å (Cu Kα). Input: a DFT-relaxed cell (GGA-PBE, Alexandria).
Neutral-atom scattering factors, no anomalous dispersion.

Main lines, low angle first (5° ≤ 2θ ≤ 70°):
| d_spacing | 2θ/deg | I_rel |
| --- | --- | --- |
| 3.374 | 26.4 | 29 |
| 3.103 | 28.8 | 99 |
| 2.926 | 30.6 | 100 |
| 2.872 | 31.1 | 40 |
| 2.810 | 31.8 | 27 |
| 2.009 | 45.1 | 53 |
| 1.699 | 54.0 | 24 |
| 1.661 | 55.3 | 22 |

Crystal structure
Lattice parameters (Å, degrees): 12.512 5.745 9.122 90.00 116.04 90.00
Space group C2/m (No. 12)
Unique sites:
Nd: 0.000 0.000 0.000 x2
Nd: 0.000 0.500 0.292 x4
Nd: 0.245 0.500 0.126 x4
As: 0.214 0.000 0.392 x4
Cl: 0.000 0.000 0.500 x2
O: 0.120 0.254 0.915 x8
O: 0.139 0.500 0.598 x4
O: 0.141 0.235 0.246 x8


Entry 5:
# SmCd6Ag
Theoretical X-ray powder pattern, λ = 1.5418 Å (Cu Kα). Input: a DFT-relaxed cell (GGA-PBE, Alexandria).
Neutral-atom scattering factors, no anomalous dispersion.

Main lines, low angle first (5° ≤ 2θ ≤ 70°):
| d_spacing | 2θ/deg | I_rel |
| --- | --- | --- |
| 2.633 | 34.0 | 45 |
| 2.607 | 34.4 | 63 |
| 2.574 | 34.9 | 15 |
| 2.532 | 35.5 | 100 |
| 2.468 | 36.4 | 16 |
| 2.424 | 37.1 | 54 |
| 2.247 | 40.1 | 17 |
| 1.419 | 65.8 | 18 |

Crystal structure
Lattice parameters (Å, degrees): 6.196 4.849 6.457 90.00 106.67 90.00
Space group Pm (No. 6)
Unique sites:
Sm: 0.000 0.000 0.000 x1
Cd: 0.090 0.000 0.516 x1
Cd: 0.219 0.500 0.808 x1
Cd: 0.256 0.500 0.308 x1
Cd: 0.571 0.000 0.397 x1
Cd: 0.694 0.500 0.696 x1
Cd: 0.726 0.500 0.184 x1
Ag: 0.488 0.000 0.888 x1


Entry 6:
# Mg5CdBi3
Theoretical X-ray powder pattern, λ = 1.5418 Å (Cu Kα). Input: a DFT-relaxed cell (GGA-PBE, Alexandria).
Neutral-atom scattering factors, no anomalous dispersion.

Main lines, low angle first (5° ≤ 2θ ≤ 70°):
| d_spacing | 2θ/deg | I_rel |
| --- | --- | --- |
| 4.823 | 18.4 | 50 |
| 4.337 | 20.5 | 100 |
| 3.821 | 23.3 | 75 |
| 3.647 | 24.4 | 67 |
| 3.225 | 27.7 | 38 |
| 2.601 | 34.5 | 42 |
| 2.441 | 36.8 | 45 |
| 2.392 | 37.6 | 34 |

Crystal structure
Lattice parameters (Å, degrees): 12.829 8.674 11.005 90.00 109.99 90.00
Space group C2/m (No. 12)
Unique sites:
Mg: 0.000 0.174 0.000 x4
Mg: 0.091 0.000 0.412 x4
Mg: 0.102 0.315 0.759 x8
Mg: 0.245 0.500 0.024 x4
Cd: 0.115 0.500 0.303 x4
Bi: 0.000 0.500 0.000 x2
Bi: 0.000 0.500 0.500 x2
Bi: 0.153 0.000 0.694 x4
Bi: 0.177 0.000 0.202 x4


Entry 7:
# CeSm4Se7
Theoretical X-ray powder pattern, λ = 1.5418 Å (Cu Kα). Input: a DFT-relaxed cell (GGA-PBE, Alexandria).
Neutral-atom scattering factors, no anomalous dispersion.

Main lines, low angle first (5° ≤ 2θ ≤ 70°):
| d_spacing | 2θ/deg | I_rel |
| --- | --- | --- |
| 3.994 | 22.3 | 89 |
| 3.897 | 22.8 | 93 |
| 3.034 | 29.4 | 78 |
| 2.888 | 31.0 | 100 |
| 2.801 | 32.0 | 79 |
| 2.299 | 39.2 | 53 |
| 2.054 | 44.1 | 58 |
| 2.032 | 44.6 | 61 |

Crystal structure
Lattice parameters (Å, degrees): 13.783 4.064 12.442 90.00 104.65 90.00
Space group Cm (No. 8)
Unique sites:
Ce: 0.000 0.000 0.000 x2
Sm: 0.114 0.000 0.423 x2
Sm: 0.227 0.000 0.842 x2
Sm: 0.314 0.500 0.235 x2
Sm: 0.414 0.000 0.611 x2
Se: 0.072 0.000 0.637 x2
Se: 0.114 0.500 0.919 x2
Se: 0.155 0.000 0.208 x2
Se: 0.274 0.500 0.472 x2
Se: 0.353 0.500 0.770 x2
Se: 0.371 0.000 0.072 x2
Se: 0.454 0.000 0.372 x2


Entry 8:
# Li12Cd6Hg
Theoretical X-ray powder pattern, λ = 1.5418 Å (Cu Kα). Input: a DFT-relaxed cell (GGA-PBE, Alexandria).
Neutral-atom scattering factors, no anomalous dispersion.

Main lines, low angle first (5° ≤ 2θ ≤ 70°):
| d_spacing | 2θ/deg | I_rel |
| --- | --- | --- |
| 7.202 | 12.3 | 100 |
| 5.038 | 17.6 | 78 |
| 4.070 | 21.8 | 60 |
| 3.249 | 27.4 | 43 |
| 3.193 | 27.9 | 31 |
| 2.424 | 37.1 | 81 |
| 2.401 | 37.5 | 26 |
| 2.293 | 39.3 | 58 |

Crystal structure
Lattice parameters (Å, degrees): 10.2980 10.2980 12.2110 90.00 90.00 120.00
Space group R-3 (No. 148, hexagonal axes)
Unique sites:
Li: 0.0330 0.1854 0.3141 x18
Li: 0.0591 0.8469 0.9122 x18
Cd: 0.0129 0.4256 0.2055 x18
Hg: 0.0000 0.0000 0.5000 x3


Entry 9:
# PuPa2Ir
Theoretical X-ray powder pattern, λ = 1.5418 Å (Cu Kα). Input: a DFT-relaxed cell (GGA-PBE, Alexandria).
Neutral-atom scattering factors, no anomalous dispersion.

Main lines, low angle first (5° ≤ 2θ ≤ 70°):
| d_spacing | 2θ/deg | I_rel |
| --- | --- | --- |
| 2.830 | 31.6 | 18 |
| 2.816 | 31.8 | 13 |
| 2.699 | 33.2 | 40 |
| 2.633 | 34.1 | 100 |
| 2.343 | 38.4 | 30 |
| 2.308 | 39.0 | 20 |
| 2.282 | 39.5 | 27 |
| 1.431 | 65.2 | 15 |

Crystal structure
Lattice parameters (Å, degrees): 3.650 9.004 5.550 90.00 98.52 90.00
Space group P2_1/m (No. 11)
Unique sites:
Pu: 0.103 0.250 0.118 x2
Pa: 0.296 0.057 0.779 x4
Ir: 0.261 0.750 0.479 x2


Entry 10:
# SrTl6Sn23
Theoretical X-ray powder pattern, λ = 1.5418 Å (Cu Kα). Input: a DFT-relaxed cell (GGA-PBE, Alexandria).
Neutral-atom scattering factors, no anomalous dispersion.

Main lines, low angle first (5° ≤ 2θ ≤ 70°):
| d_spacing | 2θ/deg | I_rel |
| --- | --- | --- |
| 3.298 | 27.0 | 11 |
| 3.065 | 29.1 | 12 |
| 3.029 | 29.5 | 18 |
| 2.853 | 31.4 | 15 |
| 2.805 | 31.9 | 100 |
| 2.588 | 34.7 | 76 |
| 1.902 | 47.8 | 20 |
| 1.533 | 60.4 | 27 |

Crystal structure
Lattice parameters (Å, degrees): 17.931 10.350 11.300 90.00 121.93 90.00
Space group C2/m (No. 12)
Unique sites:
Sr: 0.000 0.000 0.000 x2
Tl: 0.008 0.235 0.788 x8
Tl: 0.228 0.000 0.212 x4
Sn: 0.000 0.000 0.500 x2
Sn: 0.000 0.500 0.000 x2
Sn: 0.000 0.500 0.500 x2
Sn: 0.115 0.500 0.846 x4
Sn: 0.123 0.254 0.623 x8
Sn: 0.123 0.500 0.376 x4
Sn: 0.133 0.000 0.398 x4
Sn: 0.165 0.000 0.825 x4
Sn: 0.170 0.334 0.175 x8
Sn: 0.250 0.250 0.000 x4
Sn: 0.250 0.250 0.500 x4


Entry 11:
# BeCoH6
Theoretical X-ray powder pattern, λ = 1.5418 Å (Cu Kα). Input: a DFT-relaxed cell (GGA-PBE, Alexandria).
Neutral-atom scattering factors, no anomalous dispersion.

Main lines, low angle first (5° ≤ 2θ ≤ 70°):
| d_spacing | 2θ/deg | I_rel |
| --- | --- | --- |
| 4.488 | 19.8 | 100 |
| 4.148 | 21.4 | 52 |
| 3.136 | 28.5 | 73 |
| 3.046 | 29.3 | 47 |
| 2.651 | 33.8 | 28 |
| 2.375 | 37.9 | 20 |
| 2.231 | 40.4 | 21 |
| 1.583 | 58.3 | 16 |

Crystal structure
Lattice parameters (Å, degrees): 3.372 8.976 4.179 90.00 97.00 90.00
Space group C2/m (No. 12)
Unique sites:
Be: 0.000 0.000 0.000 x2
Co: 0.000 0.000 0.500 x2
H: 0.019 0.500 0.613 x4
H: 0.037 0.129 0.743 x8


Entry 12:
# Pa2FeAg
Theoretical X-ray powder pattern, λ = 1.5418 Å (Cu Kα). Input: a DFT-relaxed cell (GGA-PBE, Alexandria).
Neutral-atom scattering factors, no anomalous dispersion.

Main lines, low angle first (5° ≤ 2θ ≤ 70°):
| d_spacing | 2θ/deg | I_rel |
| --- | --- | --- |
| 9.371 | 9.4 | 68 |
| 3.124 | 28.6 | 59 |
| 2.962 | 30.2 | 100 |
| 2.632 | 34.1 | 65 |
| 2.272 | 39.7 | 68 |
| 2.045 | 44.3 | 67 |
| 1.720 | 53.3 | 49 |
| 1.507 | 61.6 | 42 |

Crystal structure
Lattice parameters (Å, degrees): 3.4397 3.4397 28.1141 90.00 90.00 120.00
Space group R-3m (No. 166, hexagonal axes)
Unique sites:
Pa: 0.0000 0.0000 0.1087 x6
Fe: 0.0000 0.0000 0.5000 x3
Ag: 0.0000 0.0000 0.0000 x3